SnPd3C: simulated PXRD pattern (a wavelength of 1.5418 Å), based on a crystal structure in the Materials Project, relaxed with PBE.

Principal peaks in the range 10° ≤ 2θ ≤ 80°, in order of rising 2θ:
2θ/deg  I (rel.)  hkl
29.71  0.8  1 1 0
36.60  100.0  1 1 1
42.51  53.8  2 0 0
61.69  35.2  2 2 0
73.91  38.6  3 1 1
77.80  12.0  2 2 2

```
data_SnPd3C
_cell_length_a 4.253
_cell_length_b 4.253
_cell_length_c 4.253
_cell_angle_alpha 90.00
_cell_angle_beta 90.00
_cell_angle_gamma 90.00
_space_group_name_H-M_alt 'P m -3 m'
_space_group_IT_number 221
_space_group_name_Hall '-P 4 2 3'
loop_
_atom_site_label
_atom_site_type_symbol
_atom_site_fract_x
_atom_site_fract_y
_atom_site_fract_z
Sn1 Sn 0.000 0.000 0.000
Pd1 Pd 0.000 0.500 0.500
C1 C 0.500 0.500 0.500
```

---

LiIrO2: simulated PXRD pattern (a wavelength of 1.5418 Å), based on a crystal structure in the Materials Project, relaxed with PBE.

Principal peaks in the range 10° ≤ 2θ ≤ 80°, in order of rising 2θ:
2θ/deg  I (rel.)  hkl
19.25  100.0  0 0 1
33.02  71.9  1 3 0
34.93  48.7  2 0 0
41.82  57.9  1 3 1
46.42  25.9  1 3 -2
57.30  17.8  1 3 2
57.72  22.0  0 6 0
61.43  26.9  3 3 0
63.45  15.9  2 0 2
71.92  14.0  3 3 1

```
data_LiIrO2
_cell_length_a 5.532
_cell_length_b 9.586
_cell_length_c 4.963
_cell_angle_alpha 90.00
_cell_angle_beta 111.75
_cell_angle_gamma 90.00
_space_group_name_H-M_alt 'C 1 2/m 1'
_space_group_IT_number 12
loop_
_space_group_symop_operation_xyz
'x,y,z'
'-x,-y,-z'
'-x,y,-z'
'x,-y,z'
'x+1/2,y+1/2,z'
'-x+1/2,-y+1/2,-z'
'-x+1/2,y+1/2,-z'
'x+1/2,-y+1/2,z'
loop_
_atom_site_label
_atom_site_type_symbol
_atom_site_fract_x
_atom_site_fract_y
_atom_site_fract_z
Li1 Li 0.000 0.000 0.000
Li2 Li 0.000 0.323 0.000
Ir1 Ir 0.000 0.166 0.500
Ir2 Ir 0.000 0.500 0.500
O1 O 0.238 0.000 0.716
O2 O 0.239 0.334 0.718
```

---

Sm2Al: simulated PXRD pattern (a wavelength of 1.5418 Å), based on a crystal structure in the Materials Project, relaxed with PBE.

Principal peaks in the range 10° ≤ 2θ ≤ 80°, in order of rising 2θ:
2θ/deg  I (rel.)  hkl
22.75  21.5  1 0 2
23.56  37.4  1 1 1
28.55  31.2  1 1 2
31.88  23.8  2 1 0
32.69  100.0  0 1 3
33.24  67.9  2 1 1
34.44  40.4  0 2 0
41.70  17.7  3 0 1
48.19  22.4  2 2 2
59.25  17.3  3 1 4

```
data_Sm2Al
_cell_length_a 6.665
_cell_length_b 5.208
_cell_length_c 9.654
_cell_angle_alpha 90.00
_cell_angle_beta 90.00
_cell_angle_gamma 90.00
_space_group_name_H-M_alt 'P n m a'
_space_group_IT_number 62
loop_
_space_group_symop_operation_xyz
'x,y,z'
'-x,-y,-z'
'-x+1/2,-y,z+1/2'
'x+1/2,y,-z+1/2'
'x+1/2,-y+1/2,-z+1/2'
'-x+1/2,y+1/2,z+1/2'
'-x,y+1/2,-z'
'x,-y+1/2,z'
loop_
_atom_site_label
_atom_site_type_symbol
_atom_site_fract_x
_atom_site_fract_y
_atom_site_fract_z
Sm1 Sm 0.026 0.250 0.207
Sm2 Sm 0.192 0.250 0.575
Al1 Al 0.210 0.250 0.898
```